Record 1
Computed powder diffractogram of Y5Tm3P8 for Cu Kα, from a GGA-PBE-relaxed structure.
Kinematic intensities with the Lorentz-polarization factor, no thermal factor.

Peak list (6 most intense, 15 to 90 degrees two-theta, sorted by position)
2θ 27.38, 3.257 Å, rel. 66.5
2θ 31.72, 2.821 Å, rel. 100.0
2θ 45.48, 1.995 Å, rel. 71.7
2θ 53.90, 1.701 Å, rel. 31.8
2θ 56.51, 1.629 Å, rel. 24.8
2θ 75.34, 1.261 Å, rel. 31.5

Structure:
Unit cell a=7.9780 b=7.9780 c=7.9780 alpha=60.00 beta=60.00 gamma=60.00
Element x y z (fractional)
Y 0.0000 0.0000 0.0000
Y 0.0000 0.5000 0.5000
Y 0.5000 0.0000 0.5000
Y 0.5000 0.5000 0.0000
Y 0.5000 0.5000 0.5000
Tm 0.0000 0.0000 0.5000
Tm 0.0000 0.5000 0.0000
Tm 0.5000 0.0000 0.0000
P 0.2471 0.7500 0.7500
P 0.2486 0.2486 0.2486
P 0.2500 0.2500 0.7529
P 0.2500 0.7529 0.2500
P 0.7500 0.2471 0.7500
P 0.7500 0.7500 0.2471
P 0.7514 0.7514 0.7514
P 0.7529 0.2500 0.2500

---

Record 2
Computed powder diffractogram of Li8ZnCd2 for Cu Kα, from a GGA-PBE-relaxed structure.
Kinematic intensities with the Lorentz-polarization factor, no thermal factor.

Peak list (6 most intense, 15 to 90 degrees two-theta, sorted by position)
2θ 20.81, 4.268 Å, rel. 76.9
2θ 24.16, 3.684 Å, rel. 38.0
2θ 25.23, 3.530 Å, rel. 100.0
2θ 27.05, 3.297 Å, rel. 43.6
2θ 37.70, 2.386 Å, rel. 52.8
2θ 38.00, 2.368 Å, rel. 56.5

Structure:
Unit cell a=7.7932 b=7.7932 c=5.9640 alpha=99.07 beta=99.07 gamma=33.16
Element x y z (fractional)
Li 0.0357 0.0357 0.2426
Li 0.1466 0.1466 0.6690
Li 0.3269 0.3269 0.5945
Li 0.4051 0.4051 0.0585
Li 0.5949 0.5949 0.9415
Li 0.6731 0.6731 0.4055
Li 0.8534 0.8534 0.3310
Li 0.9643 0.9643 0.7574
Zn 0.5000 0.5000 0.5000
Cd 0.2182 0.2182 0.1467
Cd 0.7818 0.7818 0.8533

---

Record 3
Computed powder diffractogram of KAgSeO4 for Cu Kα, from a GGA-PBE-relaxed structure.
Kinematic intensities with the Lorentz-polarization factor, no thermal factor.

Peak list (6 most intense, 15 to 90 degrees two-theta, sorted by position)
2θ 18.19, 4.877 Å, rel. 100.0
2θ 29.29, 3.049 Å, rel. 37.0
2θ 30.22, 2.957 Å, rel. 93.7
2θ 34.69, 2.586 Å, rel. 21.8
2θ 52.53, 1.742 Å, rel. 34.0
2θ 54.26, 1.691 Å, rel. 19.0

Structure:
Unit cell a=6.0985 b=6.0985 c=8.1251 alpha=90.00 beta=90.00 gamma=90.00
Element x y z (fractional)
K 0.0000 0.0000 0.0000
K 0.5000 0.5000 0.5000
Ag 0.0000 0.0000 0.5000
Ag 0.5000 0.5000 0.0000
Se 0.0000 0.5000 0.7500
Se 0.5000 0.0000 0.2500
O 0.1380 0.6826 0.6342
O 0.1826 0.3620 0.8658
O 0.3174 0.1380 0.3658
O 0.3620 0.8174 0.1342
O 0.6380 0.1826 0.1342
O 0.6826 0.8620 0.3658
O 0.8174 0.6380 0.8658
O 0.8620 0.3174 0.6342

---

Record 4
Computed powder diffractogram of Na3Ir2O4 for Cu Kα, from a GGA-PBE-relaxed structure.
Kinematic intensities with the Lorentz-polarization factor, no thermal factor.

Peak list (6 most intense, 15 to 90 degrees two-theta, sorted by position)
2θ 21.52, 4.129 Å, rel. 100.0
2θ 22.78, 3.903 Å, rel. 36.1
2θ 27.85, 3.204 Å, rel. 28.5
2θ 30.93, 2.891 Å, rel. 39.4
2θ 34.71, 2.584 Å, rel. 62.6
2θ 41.34, 2.184 Å, rel. 37.7

Structure:
Unit cell a=8.7093 b=8.7093 c=5.1676 alpha=90.50 beta=90.50 gamma=43.17
Element x y z (fractional)
Na 0.0081 0.9919 0.7500
Na 0.2594 0.4893 0.0180
Na 0.4893 0.2594 0.5180
Na 0.5107 0.7406 0.4820
Na 0.7406 0.5107 0.9820
Na 0.9919 0.0081 0.2500
Ir 0.1091 0.2400 0.5082
Ir 0.2400 0.1091 0.0082
Ir 0.7600 0.8909 0.9918
Ir 0.8909 0.7600 0.4918
O 0.1538 0.6914 0.4906
O 0.2605 0.2633 0.7612
O 0.2633 0.2605 0.2612
O 0.3086 0.8462 0.0094
O 0.6914 0.1538 0.9906
O 0.7367 0.7395 0.7388
O 0.7395 0.7367 0.2388
O 0.8462 0.3086 0.5094

---

Record 5
Computed powder diffractogram of NaPmAg2Cl6 for Cu Kα, from a GGA-PBE-relaxed structure.
Kinematic intensities with the Lorentz-polarization factor, no thermal factor.

Peak list (6 most intense, 15 to 90 degrees two-theta, sorted by position)
2θ 23.33, 3.813 Å, rel. 75.8
2θ 25.21, 3.533 Å, rel. 100.0
2θ 28.53, 3.128 Å, rel. 71.2
2θ 28.79, 3.101 Å, rel. 70.0
2θ 29.25, 3.053 Å, rel. 72.0
2θ 44.85, 2.021 Å, rel. 82.3

Structure:
Unit cell a=6.9683 b=7.0665 c=7.5952 alpha=63.56 beta=63.49 gamma=60.49
Element x y z (fractional)
Na 0.0000 0.0000 0.0000
Pm 0.5066 0.5056 0.4811
Ag 0.2253 0.2041 0.3708
Ag 0.7622 0.7672 0.6977
Cl 0.1179 0.7558 0.7247
Cl 0.2573 0.6017 0.2414
Cl 0.3917 0.1195 0.7045
Cl 0.6071 0.8835 0.2411
Cl 0.7473 0.3960 0.7388
Cl 0.9012 0.2517 0.2542

---

Record 6
Computed powder diffractogram of AcCu2Au10 for Cu Kα, from a GGA-PBE-relaxed structure.
Kinematic intensities with the Lorentz-polarization factor, no thermal factor.

Peak list (6 most intense, 15 to 90 degrees two-theta, sorted by position)
2θ 32.30, 2.771 Å, rel. 31.8
2θ 37.76, 2.383 Å, rel. 56.0
2θ 38.03, 2.366 Å, rel. 100.0
2θ 42.11, 2.146 Å, rel. 36.3
2θ 42.56, 2.124 Å, rel. 43.1
2θ 42.70, 2.118 Å, rel. 29.2

Structure:
Unit cell a=5.5430 b=7.2133 c=7.2267 alpha=82.03 beta=67.99 gamma=68.06
Element x y z (fractional)
Ac 0.0000 0.0000 0.0000
Cu 0.0000 0.5000 0.0000
Cu 0.5000 0.5000 0.0000
Au 0.0000 0.0000 0.5000
Au 0.0136 0.6422 0.3313
Au 0.2843 0.2286 0.2109
Au 0.3368 0.6419 0.6684
Au 0.4913 0.2288 0.7892
Au 0.5000 0.0000 0.5000
Au 0.5087 0.7712 0.2108
Au 0.6632 0.3581 0.3316
Au 0.7157 0.7714 0.7891
Au 0.9864 0.3578 0.6687

---

Record 7
Computed powder diffractogram of YGa6Pt6 for Cu Kα, from a GGA-PBE-relaxed structure.
Kinematic intensities with the Lorentz-polarization factor, no thermal factor.

Peak list (6 most intense, 15 to 90 degrees two-theta, sorted by position)
2θ 33.24, 2.696 Å, rel. 100.0
2θ 34.10, 2.629 Å, rel. 47.5
2θ 39.45, 2.284 Å, rel. 71.1
2θ 40.20, 2.243 Å, rel. 34.6
2θ 43.83, 2.066 Å, rel. 31.8
2θ 44.75, 2.025 Å, rel. 63.2

Structure:
Unit cell a=6.8998 b=6.8998 c=6.8998 alpha=135.21 beta=102.83 gamma=93.92
Element x y z (fractional)
Y 0.0000 0.0000 0.0000
Ga 0.0000 0.0000 0.5000
Ga 0.0000 0.5000 0.0000
Ga 0.2415 0.5000 0.7415
Ga 0.5000 0.0000 0.0000
Ga 0.5000 0.5000 0.5000
Ga 0.7585 0.5000 0.2585
Pt 0.1754 0.6754 0.5000
Pt 0.3360 0.0000 0.3360
Pt 0.3406 0.3406 0.0000
Pt 0.6594 0.6594 0.0000
Pt 0.6640 0.0000 0.6640
Pt 0.8246 0.3246 0.5000

---

Record 8
Computed powder diffractogram of Cs2SbRu for Cu Kα, from a GGA-PBE-relaxed structure.
Kinematic intensities with the Lorentz-polarization factor, no thermal factor.

Peak list (6 most intense, 15 to 90 degrees two-theta, sorted by position)
2θ 18.73, 4.737 Å, rel. 33.5
2θ 22.92, 3.880 Å, rel. 74.1
2θ 26.36, 3.381 Å, rel. 100.0
2θ 29.54, 3.024 Å, rel. 62.5
2θ 37.66, 2.389 Å, rel. 44.2
2θ 41.49, 2.177 Å, rel. 35.7

Structure:
Unit cell a=13.5246 b=13.5246 c=5.0572 alpha=90.00 beta=90.00 gamma=90.00
Element x y z (fractional)
Cs 0.0416 0.2500 0.1250
Cs 0.2500 0.5416 0.3750
Cs 0.2500 0.9584 0.8750
Cs 0.4584 0.2500 0.6250
Cs 0.5416 0.7500 0.6250
Cs 0.7500 0.0416 0.8750
Cs 0.7500 0.4584 0.3750
Cs 0.9584 0.7500 0.1250
Sb 0.0000 0.0000 0.5000
Sb 0.0000 0.5000 0.7500
Sb 0.5000 0.0000 0.2500
Sb 0.5000 0.5000 0.0000
Ru 0.0000 0.0000 0.0000
Ru 0.0000 0.5000 0.2500
Ru 0.5000 0.0000 0.7500
Ru 0.5000 0.5000 0.5000